# 1
Computed powder diffraction line list of LaPa7N12 for Cu Kα (λ = 1.5418 Å), from the GGA-PBE geometry in Alexandria.

Peak list (11 most intense, 2θ from 10° to 90°, low angle first)
2θ 14.6, rel. 2; 2θ 20.7, rel. 1; 2θ 25.4, rel. 1; 2θ 29.5, rel. 100; 2θ 33.0, rel. 1; 2θ 42.2, rel. 22; 2θ 52.3, rel. 46; 2θ 61.1, rel. 14; 2θ 69.3, rel. 19; 2θ 77.1, rel. 5; 2θ 84.6, rel. 23

Atomic structure:
Lattice parameters (Å, degrees): 8.573 8.573 8.573 90.00 90.00 90.00
Space group Im-3 (No. 204)
One atom of each set of equivalent atoms:
La  0.000  0.000  0.000 [2 per cell]
Pa  0.000  0.000  0.500 [6 per cell]
Pa  0.250  0.250  0.250 [8 per cell]
N  0.000  0.311  0.181 [24 per cell]


# 2
Computed powder diffraction line list of Pm2Pb2O for Cu Kα (λ = 1.5418 Å), from the GGA-PBE geometry in Alexandria.

Peak list (12 most intense, 2θ from 10° to 90°, low angle first)
2θ 28.5, rel. 85; 2θ 29.8, rel. 80; 2θ 30.3, rel. 100; 2θ 31.8, rel. 45; 2θ 32.8, rel. 65; 2θ 33.9, rel. 56; 2θ 39.6, rel. 51; 2θ 41.7, rel. 39; 2θ 48.0, rel. 26; 2θ 55.6, rel. 25; 2θ 57.5, rel. 26; 2θ 59.3, rel. 24

Atomic structure:
Lattice parameters (Å, degrees): 3.794 16.647 8.672 90.00 90.00 90.00
Space group Cmc2_1 (No. 36)
One atom of each set of equivalent atoms:
Pm  0.000  0.037  0.000 [4 per cell]
Pm  0.000  0.367  0.823 [4 per cell]
Pb  0.000  0.281  0.484 [4 per cell]
Pb  0.000  0.390  0.191 [4 per cell]
O  0.000  0.064  0.276 [4 per cell]


# 3
Computed powder diffraction line list of Ba5Ca2Nb3O15 for Cu Kα (λ = 1.5418 Å), from the GGA-PBE geometry in Alexandria.

Peak list (12 most intense, 2θ from 10° to 90°, low angle first)
2θ 29.4, rel. 50; 2θ 29.6, rel. 100; 2θ 36.4, rel. 18; 2θ 42.1, rel. 33; 2θ 42.5, rel. 16; 2θ 52.3, rel. 40; 2θ 52.6, rel. 19; 2θ 61.0, rel. 10; 2θ 61.4, rel. 20; 2θ 84.5, rel. 11; 2θ 84.7, rel. 10; 2θ 85.1, rel. 10

Atomic structure:
Lattice parameters (Å, degrees): 13.582 13.582 8.499 90.00 90.00 90.00
Space group I4/m (No. 87)
One atom of each set of equivalent atoms:
Ba  0.000  0.500  0.250 [4 per cell]
Ba  0.099  0.197  0.243 [16 per cell]
Ca  0.102  0.702  0.500 [8 per cell]
Nb  0.000  0.000  0.000 [2 per cell]
Nb  0.000  0.000  0.500 [2 per cell]
Nb  0.100  0.694  0.000 [8 per cell]
O  0.000  0.000  0.247 [4 per cell]
O  0.044  0.339  0.000 [8 per cell]
O  0.047  0.860  0.000 [8 per cell]
O  0.052  0.864  0.500 [8 per cell]
O  0.059  0.359  0.500 [8 per cell]
O  0.093  0.710  0.232 [16 per cell]
O  0.235  0.752  0.000 [8 per cell]


# 4
Computed powder diffraction line list of RbH2Se2 for Cu Kα (λ = 1.5418 Å), from the GGA-PBE geometry in Alexandria.

Peak list (12 most intense, 2θ from 10° to 90°, low angle first)
2θ 17.6, rel. 17; 2θ 24.8, rel. 100; 2θ 26.2, rel. 29; 2θ 28.0, rel. 55; 2θ 28.2, rel. 22; 2θ 32.2, rel. 30; 2θ 35.2, rel. 39; 2θ 36.5, rel. 25; 2θ 37.7, rel. 22; 2θ 38.0, rel. 17; 2θ 52.5, rel. 16; 2θ 58.9, rel. 15

Atomic structure:
Lattice parameters (Å, degrees): 5.096 6.791 8.030 89.45 71.52 89.97
Space group P-1 (No. 2)
One atom of each set of equivalent atoms:
Rb  0.122  0.312  0.255 [2 per cell]
H  0.077  0.257  0.769 [2 per cell]
H  0.347  0.743  0.231 [2 per cell]
Se  0.201  0.818  0.099 [2 per cell]
Se  0.472  0.333  0.556 [2 per cell]